(1)
Starting from the GGA-PBE geometry in Alexandria, the XRD peak list of NpNi4Pd8 was computed for Cu Kα X-rays.
Intensities are scaled so that the largest is 100.

Atomic structure:
Cell lengths 6.736, 6.736, 6.736 Å; angles 97.94, 97.94, 136.37 degrees
Positions (direct):
1 Np 0.000 0.000 0.000
2 Ni 0.000 0.000 0.500
3 Ni 0.000 0.500 0.000
4 Ni 0.500 0.000 0.000
5 Ni 0.500 0.500 0.500
6 Pd 0.000 0.344 0.344
7 Pd 0.000 0.656 0.656
8 Pd 0.284 0.500 0.784
9 Pd 0.344 0.000 0.344
10 Pd 0.500 0.284 0.784
11 Pd 0.500 0.716 0.216
12 Pd 0.656 0.000 0.656
13 Pd 0.716 0.500 0.216

Principal peaks in the range 2θ from 15° to 90°, by intensity:
41.0 deg, I = 100.0
35.3 deg, I = 52.3
40.8 deg, I = 45.0
41.5 deg, I = 42.6
35.9 deg, I = 26.8
74.4 deg, I = 25.2
46.5 deg, I = 25.0
67.9 deg, I = 22.2
74.7 deg, I = 19.4
28.8 deg, I = 17.4
32.0 deg, I = 12.0
76.1 deg, I = 10.8

***

(2)
Starting from the GGA-PBE geometry in Alexandria, the XRD peak list of NpNiPd was computed for Cu Kα X-rays.
Intensities are scaled so that the largest is 100.

Atomic structure:
Cell lengths 4.951, 5.593, 7.607 Å; angles 90.00, 90.00, 90.00 degrees
Positions (direct):
1 Np 0.250 0.129 0.000
2 Np 0.250 0.629 0.500
3 Np 0.750 0.371 0.500
4 Np 0.750 0.871 0.000
5 Ni 0.000 0.000 0.675
6 Ni 0.000 0.500 0.175
7 Ni 0.500 0.000 0.675
8 Ni 0.500 0.500 0.175
9 Pd 0.250 0.135 0.375
10 Pd 0.250 0.635 0.875
11 Pd 0.750 0.365 0.875
12 Pd 0.750 0.865 0.375

Principal peaks in the range 2θ from 15° to 90°, by intensity:
36.9 deg, I = 100.0
44.2 deg, I = 69.0
26.8 deg, I = 61.2
43.2 deg, I = 61.0
39.0 deg, I = 59.4
23.4 deg, I = 54.9
43.6 deg, I = 54.0
41.6 deg, I = 38.8
36.3 deg, I = 34.4
19.7 deg, I = 24.5
73.8 deg, I = 22.2
65.7 deg, I = 18.9

***

(3)
Starting from the GGA-PBE geometry in Alexandria, the XRD peak list of PmNp2Ni9 was computed for Cu Kα X-rays.
Intensities are scaled so that the largest is 100.

Atomic structure:
Cell lengths 4.927, 4.927, 16.292 Å; angles 90.00, 90.00, 120.00 degrees
Positions (direct):
1 Pm 0.333 0.667 0.250
2 Pm 0.667 0.333 0.750
3 Np 0.333 0.667 0.033
4 Np 0.333 0.667 0.467
5 Np 0.667 0.333 0.533
6 Np 0.667 0.333 0.967
7 Ni 0.000 0.000 0.000
8 Ni 0.000 0.000 0.250
9 Ni 0.000 0.000 0.500
10 Ni 0.000 0.000 0.750
11 Ni 0.167 0.333 0.625
12 Ni 0.167 0.333 0.875
13 Ni 0.167 0.833 0.625
14 Ni 0.167 0.833 0.875
15 Ni 0.333 0.167 0.125
16 Ni 0.333 0.167 0.375
17 Ni 0.333 0.667 0.750
18 Ni 0.667 0.333 0.250
19 Ni 0.667 0.833 0.625
20 Ni 0.667 0.833 0.875
21 Ni 0.833 0.167 0.125
22 Ni 0.833 0.167 0.375
23 Ni 0.833 0.667 0.125
24 Ni 0.833 0.667 0.375

Principal peaks in the range 2θ from 15° to 90°, by intensity:
42.9 deg, I = 100.0
34.6 deg, I = 71.5
36.5 deg, I = 57.9
42.7 deg, I = 25.1
44.3 deg, I = 24.3
64.5 deg, I = 24.2
70.1 deg, I = 22.6
45.7 deg, I = 21.2
67.9 deg, I = 20.2
77.5 deg, I = 19.3
30.3 deg, I = 16.1
42.4 deg, I = 13.6

***

(4)
Starting from the GGA-PBE geometry in Alexandria, the XRD peak list of PmNpNi2 was computed for Cu Kα X-rays.
Intensities are scaled so that the largest is 100.

Atomic structure:
Cell lengths 3.401, 3.401, 6.788 Å; angles 90.00, 90.00, 90.00 degrees
Positions (direct):
1 Pm 0.000 0.000 0.000
2 Np 0.000 0.000 0.500
3 Ni 0.500 0.500 0.292
4 Ni 0.500 0.500 0.708

Principal peaks in the range 2θ from 15° to 90°, by intensity:
37.4 deg, I = 100.0
67.5 deg, I = 32.4
26.2 deg, I = 32.1
53.9 deg, I = 12.1
46.3 deg, I = 10.7
60.9 deg, I = 9.3
61.0 deg, I = 6.7
79.8 deg, I = 5.9
85.8 deg, I = 5.5
54.0 deg, I = 4.6
48.3 deg, I = 4.1
79.7 deg, I = 3.8

***

(5)
Starting from the GGA-PBE geometry in Alexandria, the XRD peak list of Pr2Np2Ni15 was computed for Cu Kα X-rays.
Intensities are scaled so that the largest is 100.

Atomic structure:
Cell lengths 6.484, 6.484, 6.484 Å; angles 82.16, 82.16, 82.16 degrees
Positions (direct):
1 Pr 0.146 0.146 0.146
2 Pr 0.854 0.854 0.854
3 Np 0.410 0.410 0.410
4 Np 0.590 0.590 0.590
5 Ni 0.000 0.500 0.500
6 Ni 0.159 0.159 0.657
7 Ni 0.159 0.657 0.159
8 Ni 0.190 0.500 0.810
9 Ni 0.190 0.810 0.500
10 Ni 0.343 0.841 0.841
11 Ni 0.500 0.000 0.500
12 Ni 0.500 0.190 0.810
13 Ni 0.500 0.500 0.000
14 Ni 0.500 0.810 0.190
15 Ni 0.657 0.159 0.159
16 Ni 0.810 0.190 0.500
17 Ni 0.810 0.500 0.190
18 Ni 0.841 0.343 0.841
19 Ni 0.841 0.841 0.343

Principal peaks in the range 2θ from 15° to 90°, by intensity:
42.5 deg, I = 100.0
36.5 deg, I = 51.8
43.3 deg, I = 34.6
20.8 deg, I = 30.6
37.4 deg, I = 25.4
30.7 deg, I = 23.0
48.1 deg, I = 21.7
78.2 deg, I = 17.3
47.8 deg, I = 17.3
77.6 deg, I = 17.1
62.2 deg, I = 12.1
61.0 deg, I = 12.0

***

(6)
Starting from the GGA-PBE geometry in Alexandria, the XRD peak list of PrNp2Ni9 was computed for Cu Kα X-rays.
Intensities are scaled so that the largest is 100.

Atomic structure:
Cell lengths 8.641, 8.641, 8.641 Å; angles 33.26, 33.26, 33.26 degrees
Positions (direct):
1 Pr 0.000 0.000 0.000
2 Np 0.145 0.145 0.145
3 Np 0.855 0.855 0.855
4 Ni 0.083 0.584 0.584
5 Ni 0.333 0.333 0.333
6 Ni 0.416 0.416 0.917
7 Ni 0.416 0.917 0.416
8 Ni 0.500 0.500 0.500
9 Ni 0.584 0.083 0.584
10 Ni 0.584 0.584 0.083
11 Ni 0.667 0.667 0.667
12 Ni 0.917 0.416 0.416

Principal peaks in the range 2θ from 15° to 90°, by intensity:
42.8 deg, I = 100.0
36.3 deg, I = 57.8
33.1 deg, I = 56.8
42.4 deg, I = 33.8
36.1 deg, I = 27.1
69.8 deg, I = 22.6
77.1 deg, I = 19.4
63.3 deg, I = 18.3
46.0 deg, I = 16.0
21.1 deg, I = 15.7
44.8 deg, I = 15.1
25.4 deg, I = 12.0

***

(7)
Starting from the GGA-PBE geometry in Alexandria, the XRD peak list of RbNpNi2S4 was computed for Cu Kα X-rays.
Intensities are scaled so that the largest is 100.

Atomic structure:
Cell lengths 6.247, 7.884, 8.833 Å; angles 90.00, 90.00, 90.00 degrees
Positions (direct):
1 Rb 0.000 0.000 0.000
2 Rb 0.500 0.500 0.500
3 Np 0.000 0.000 0.500
4 Np 0.500 0.500 0.000
5 Ni 0.000 0.500 0.131
6 Ni 0.000 0.500 0.869
7 Ni 0.500 0.000 0.369
8 Ni 0.500 0.000 0.631
9 S 0.241 0.165 0.318
10 S 0.241 0.835 0.682
11 S 0.259 0.335 0.818
12 S 0.259 0.665 0.182
13 S 0.741 0.335 0.182
14 S 0.741 0.665 0.818
15 S 0.759 0.165 0.682
16 S 0.759 0.835 0.318

Principal peaks in the range 2θ from 15° to 90°, by intensity:
15.1 deg, I = 100.0
27.2 deg, I = 81.8
36.7 deg, I = 43.2
45.0 deg, I = 42.0
22.6 deg, I = 41.4
30.4 deg, I = 33.6
18.1 deg, I = 33.2
35.2 deg, I = 28.7
28.6 deg, I = 24.8
42.6 deg, I = 24.1
59.2 deg, I = 21.6
56.4 deg, I = 21.2

***

(8)
Starting from the GGA-PBE geometry in Alexandria, the XRD peak list of Np2Ni9Rh was computed for Cu Kα X-rays.
Intensities are scaled so that the largest is 100.

Atomic structure:
Cell lengths 8.429, 8.429, 8.429 Å; angles 33.36, 33.36, 33.36 degrees
Positions (direct):
1 Np 0.135 0.135 0.135
2 Np 0.865 0.865 0.865
3 Ni 0.080 0.583 0.583
4 Ni 0.333 0.333 0.333
5 Ni 0.417 0.417 0.920
6 Ni 0.417 0.920 0.417
7 Ni 0.500 0.500 0.500
8 Ni 0.583 0.080 0.583
9 Ni 0.583 0.583 0.080
10 Ni 0.667 0.667 0.667
11 Ni 0.920 0.417 0.417
12 Rh 0.000 0.000 0.000

Principal peaks in the range 2θ from 15° to 90°, by intensity:
43.8 deg, I = 100.0
37.2 deg, I = 81.7
33.9 deg, I = 77.4
37.0 deg, I = 69.9
43.4 deg, I = 50.9
26.0 deg, I = 37.8
47.2 deg, I = 36.6
47.4 deg, I = 32.2
45.9 deg, I = 31.5
79.2 deg, I = 28.4
66.9 deg, I = 24.3
70.9 deg, I = 23.6

***

(9)
Starting from the GGA-PBE geometry in Alexandria, the XRD peak list of Np2NiRu4 was computed for Cu Kα X-rays.
Intensities are scaled so that the largest is 100.

Atomic structure:
Cell lengths 5.023, 8.545, 5.298 Å; angles 90.00, 90.03, 90.00 degrees
Positions (direct):
1 Np 0.241 0.050 0.001
2 Np 0.241 0.450 0.501
3 Np 0.759 0.550 0.499
4 Np 0.759 0.950 0.999
5 Ni 0.500 0.000 0.500
6 Ni 0.500 0.500 0.000
7 Ru 0.018 0.182 0.502
8 Ru 0.018 0.318 0.002
9 Ru 0.433 0.750 0.250
10 Ru 0.433 0.750 0.750
11 Ru 0.567 0.250 0.250
12 Ru 0.567 0.250 0.750
13 Ru 0.982 0.682 0.998
14 Ru 0.982 0.818 0.498

Principal peaks in the range 2θ from 15° to 90°, by intensity:
41.2 deg, I = 100.0
19.7 deg, I = 74.9
41.7 deg, I = 46.5
36.3 deg, I = 42.2
40.0 deg, I = 40.9
49.5 deg, I = 37.3
32.3 deg, I = 36.2
35.8 deg, I = 35.2
33.8 deg, I = 34.5
44.1 deg, I = 31.6
65.5 deg, I = 25.8
40.2 deg, I = 23.8

***

(10)
Starting from the GGA-PBE geometry in Alexandria, the XRD peak list of NpNiS was computed for Cu Kα X-rays.
Intensities are scaled so that the largest is 100.

Atomic structure:
Cell lengths 3.782, 6.926, 7.855 Å; angles 90.00, 90.00, 90.00 degrees
Positions (direct):
1 Np 0.000 0.232 0.000
2 Np 0.000 0.768 0.000
3 Np 0.500 0.268 0.500
4 Np 0.500 0.732 0.500
5 Ni 0.000 0.000 0.350
6 Ni 0.000 0.000 0.650
7 Ni 0.500 0.500 0.150
8 Ni 0.500 0.500 0.850
9 S 0.000 0.500 0.294
10 S 0.000 0.500 0.706
11 S 0.500 0.000 0.206
12 S 0.500 0.000 0.794

Principal peaks in the range 2θ from 15° to 90°, by intensity:
37.0 deg, I = 100.0
34.5 deg, I = 60.8
26.1 deg, I = 54.6
42.0 deg, I = 47.9
22.6 deg, I = 37.3
60.6 deg, I = 24.3
69.7 deg, I = 18.1
48.1 deg, I = 17.3
53.7 deg, I = 16.3
70.4 deg, I = 14.0
25.7 deg, I = 12.9
74.9 deg, I = 12.2

***

(11)
Starting from the GGA-PBE geometry in Alexandria, the XRD peak list of NpNi2S3 was computed for Cu Kα X-rays.
Intensities are scaled so that the largest is 100.

Atomic structure:
Cell lengths 6.021, 3.750, 10.103 Å; angles 90.00, 94.16, 90.00 degrees
Positions (direct):
1 Np 0.145 0.250 0.335
2 Np 0.855 0.750 0.665
3 Ni 0.039 0.750 0.086
4 Ni 0.448 0.250 0.581
5 Ni 0.552 0.750 0.419
6 Ni 0.961 0.250 0.914
7 S 0.138 0.750 0.876
8 S 0.244 0.750 0.544
9 S 0.367 0.750 0.216
10 S 0.633 0.250 0.784
11 S 0.756 0.250 0.456
12 S 0.862 0.250 0.124

Principal peaks in the range 2θ from 15° to 90°, by intensity:
16.6 deg, I = 100.0
29.1 deg, I = 96.7
33.9 deg, I = 75.1
39.8 deg, I = 59.6
29.7 deg, I = 52.1
45.9 deg, I = 51.6
53.2 deg, I = 40.7
22.2 deg, I = 36.6
35.9 deg, I = 36.5
48.6 deg, I = 35.8
38.2 deg, I = 34.8
25.3 deg, I = 31.6

***

(12)
Starting from the GGA-PBE geometry in Alexandria, the XRD peak list of Np3Ni2Se2S4 was computed for Cu Kα X-rays.
Intensities are scaled so that the largest is 100.

Atomic structure:
Cell lengths 13.542, 13.542, 13.542 Å; angles 162.67, 162.67, 24.61 degrees
Positions (direct):
1 Np 0.000 0.000 0.000
2 Np 0.137 0.137 0.000
3 Np 0.863 0.863 0.000
4 Ni 0.239 0.239 0.000
5 Ni 0.761 0.761 0.000
6 Se 0.325 0.325 0.000
7 Se 0.675 0.675 0.000
8 S 0.067 0.567 0.500
9 S 0.433 0.933 0.500
10 S 0.567 0.067 0.500
11 S 0.933 0.433 0.500

Principal peaks in the range 2θ from 15° to 90°, by intensity:
22.0 deg, I = 100.0
31.0 deg, I = 72.1
32.3 deg, I = 63.2
41.5 deg, I = 47.1
44.4 deg, I = 46.4
37.2 deg, I = 40.8
50.1 deg, I = 34.7
37.7 deg, I = 28.7
55.9 deg, I = 28.1
20.1 deg, I = 17.2
56.9 deg, I = 16.8
43.7 deg, I = 16.6